[1]
Computed X-ray powder pattern of PmPrDyTh for Cu Kα, 1.54184 Å, from a DFT-relaxed cell (GGA-PBE, Alexandria).
Kinematic intensities with the Lorentz-polarization factor, no thermal factor.

Main lines, most intense first (2θ from 10° to 90°):
d (Å)  2θ (°)  I_rel
2.958  30.2  100
2.556  35.1  34
1.542  60.0  29
1.813  50.3  24
2.573  34.9  17
1.550  59.7  13
1.807  50.5  12
1.479  62.8  12

Structural model:
Cell: 3.615 3.615 10.291 Å, 90.00 90.00 90.00°
Fractional coordinates of all 4 atoms:
Pm: 0.000 0.000 0.000
Pr: 0.500 0.500 0.267
Dy: 0.000 0.000 0.525
Th: 0.500 0.500 0.759


[2]
Computed X-ray powder pattern of Cs5Bi2F12 for Cu Kα, 1.54184 Å, from a DFT-relaxed cell (GGA-PBE, Alexandria).
Kinematic intensities with the Lorentz-polarization factor, no thermal factor.

Main lines, most intense first (2θ from 10° to 90°):
d (Å)  2θ (°)  I_rel
3.636  24.5  100
3.603  24.7  65
3.310  26.9  65
7.207  12.3  56
3.196  27.9  54
7.315  12.1  45
3.383  26.3  36
3.152  28.3  35

Structural model:
Cell: 8.460 8.460 7.235 Å, 94.35 94.35 59.54°
Fractional coordinates of all 19 atoms:
Cs: 0.000 0.000 0.000
Cs: 0.178 0.304 0.489
Cs: 0.341 0.382 0.984
Cs: 0.618 0.659 0.016
Cs: 0.696 0.822 0.511
Bi: 0.222 0.778 0.500
Bi: 0.715 0.285 0.500
F: 0.009 0.112 0.630
F: 0.067 0.711 0.704
F: 0.131 0.625 0.280
F: 0.289 0.933 0.296
F: 0.375 0.869 0.720
F: 0.435 0.496 0.653
F: 0.504 0.565 0.347
F: 0.526 0.213 0.329
F: 0.671 0.146 0.730
F: 0.787 0.474 0.671
F: 0.854 0.329 0.270
F: 0.888 0.991 0.370


[3]
Computed X-ray powder pattern of Hf5Sc3As8 for Cu Kα, 1.54184 Å, from a DFT-relaxed cell (GGA-PBE, Alexandria).
Kinematic intensities with the Lorentz-polarization factor, no thermal factor.

Main lines, most intense first (2θ from 10° to 90°):
d (Å)  2θ (°)  I_rel
2.719  32.9  100
1.925  47.2  36
1.920  47.4  36
1.568  58.9  19
6.290  14.1  19
1.217  78.6  16
1.214  78.8  16
1.109  88.0  12

Structural model:
Cell: 7.700 7.700 7.700 Å, 59.81 59.81 59.81°
Fractional coordinates of all 16 atoms:
Hf: 0.000 0.000 0.000
Hf: 0.000 0.500 0.500
Hf: 0.500 0.000 0.500
Hf: 0.500 0.500 0.000
Hf: 0.500 0.500 0.500
Sc: 0.000 0.000 0.500
Sc: 0.000 0.500 0.000
Sc: 0.500 0.000 0.000
As: 0.250 0.250 0.250
As: 0.250 0.250 0.750
As: 0.250 0.750 0.250
As: 0.250 0.750 0.750
As: 0.750 0.250 0.250
As: 0.750 0.250 0.750
As: 0.750 0.750 0.250
As: 0.750 0.750 0.750